The following is a computed PXRD pattern of NdDy3Co8. It was derived from a DFT-relaxed cell (PBE, Alexandria), using Cu Kα (weighted mean of Kα1 and Kα2).
Lines closer than 0.1° are merged.

Most intense lines, 2θ from 10° to 90°, most intense first:
hkl	d (Å)	I_rel
2 0 2	2.173	100
1 1 0	2.548	65
2 2 0	1.274	22
2 1 10	1.387	19
1 2 8	1.471	18
0 2 4	2.080	15
0 1 2	4.160	14
3 0 6	1.386	11
2 1 16	1.139	11
1 3 10	1.098	8
3 0 0	1.470	6
0 2 10	1.653	4

Atomic structure:
a = 5.0923 Å, b = 5.0923 Å, c = 24.9876 Å
α = 90.00°, β = 90.00°, γ = 120.00°
Space group R3m (No. 160, hexagonal axes)
Asymmetric unit:
Nd1 0.0000 0.0000 0.0000 (multiplicity 3)
Dy1 0.0000 0.0000 0.1253 (multiplicity 3)
Dy2 0.0000 0.0000 0.5003 (multiplicity 3)
Dy3 0.0000 0.0000 0.6249 (multiplicity 3)
Co1 0.0000 0.0000 0.3122 (multiplicity 3)
Co2 0.0000 0.0000 0.8128 (multiplicity 3)
Co3 0.0020 0.5010 0.0641 (multiplicity 9)
Co4 0.1683 0.3366 0.8947 (multiplicity 9)

The following is a computed PXRD pattern of NdDyCo. It was derived from a DFT-relaxed cell (PBE, Alexandria), using Cu Kα (weighted mean of Kα1 and Kα2).
Lines closer than 0.1° are merged.

Most intense lines, 2θ from 10° to 90°, most intense first:
hkl	d (Å)	I_rel
1 2 -1	2.980	100
0 1 2	3.040	74
2 0 0	2.827	48
1 1 -3	2.473	39
2 0 -2	3.167	37
1 3 1	1.897	32
2 1 0	2.608	28
2 1 -4	1.929	25
1 2 1	2.437	23
2 2 -2	2.310	20
2 1 2	1.703	18
3 2 -1	1.805	17

Atomic structure:
a = 6.7055 Å, b = 6.7556 Å, c = 8.0747 Å
α = 90.00°, β = 122.51°, γ = 90.00°
Space group P2_1/c (No. 14)
Asymmetric unit:
Nd1 0.1932 0.1576 0.4177 (multiplicity 4)
Dy1 0.3084 0.6592 0.5968 (multiplicity 4)
Co1 0.2846 0.5197 0.2797 (multiplicity 4)

The following is a computed PXRD pattern of Dy2CoNi3. It was derived from a DFT-relaxed cell (PBE, Alexandria), using Cu Kα (weighted mean of Kα1 and Kα2).
Lines closer than 0.1° are merged.

Most intense lines, 2θ from 10° to 90°, most intense first:
hkl	d (Å)	I_rel
1 0 3	2.592	100
1 2 3	1.812	68
0 2 0	2.535	63
1 1 2	2.697	54
2 0 0	2.070	35
3 2 3	1.139	33
2 2 0	1.603	30
0 1 5	1.856	26
1 1 0	3.207	24
0 1 3	2.780	23
2 1 5	1.382	19
0 0 6	1.661	15

Atomic structure:
a = 4.1398 Å, b = 5.0708 Å, c = 9.9726 Å
α = 90.00°, β = 90.00°, γ = 90.00°
Space group Immm (No. 71)
Asymmetric unit:
Dy1 0.0000 0.0000 0.1873 (multiplicity 4)
Co1 0.0000 0.0000 0.5000 (multiplicity 2)
Ni1 0.0000 0.5000 0.1153 (multiplicity 4)
Ni2 0.0000 0.5000 0.5000 (multiplicity 2)

The following is a computed PXRD pattern of Dy3CoNi. It was derived from a DFT-relaxed cell (PBE, Alexandria), using Cu Kα (weighted mean of Kα1 and Kα2).
Lines closer than 0.1° are merged.

Most intense lines, 2θ from 10° to 90°, most intense first:
hkl	d (Å)	I_rel
1 1 -2	2.671	100
2 1 -1	2.336	49
1 0 3	2.772	46
2 0 0	3.103	28
2 1 5	1.473	26
3 0 -3	1.721	21
0 2 0	1.919	18
1 2 3	1.578	17
3 2 -3	1.281	16
0 1 3	2.411	13
0 1 1	3.548	12
3 1 2	1.696	11

Atomic structure:
a = 6.2069 Å, b = 3.8389 Å, c = 9.2939 Å
α = 90.00°, β = 90.06°, γ = 90.00°
Space group P2_1/m (No. 11)
Asymmetric unit:
Dy1 0.2427 0.2500 0.0594 (multiplicity 2)
Dy2 0.2429 0.2500 0.4407 (multiplicity 2)
Dy3 0.2476 0.7500 0.7500 (multiplicity 2)
Co1 0.0570 0.7500 0.2498 (multiplicity 2)
Ni1 0.4408 0.7500 0.2503 (multiplicity 2)